Diffraction record for NaNi2PtO4. The X-ray powder pattern is calculated, not measured: it uses a crystal structure in Alexandria, relaxed with GGA+U and λ = 1.5418 Å (Cu Kα).
Kinematic intensities with the Lorentz-polarization factor, no thermal factor.

Structure:
```
data_NaNi2PtO4
_chemical_formula_sum 'Na2 Ni4 Pt2 O8'
_cell_length_a 5.163
_cell_length_b 5.163
_cell_length_c 6.951
_cell_angle_alpha 90.00
_cell_angle_beta 90.00
_cell_angle_gamma 90.00
_space_group_name_H-M_alt 'I -4 2 m'
_space_group_IT_number 121
_space_group_name_Hall 'I -4 2'
loop_
_atom_site_label
_atom_site_type_symbol
_atom_site_fract_x
_atom_site_fract_y
_atom_site_fract_z
_atom_site_occupancy
Na1 Na 0.000 0.000 0.000 1
Ni1 Ni 0.000 0.500 0.250 1
Pt1 Pt 0.000 0.000 0.500 1
O1 O 0.185 0.185 0.272 1
```

Main lines, low angle first (2θ = 10–80°):
2θ/deg	d (Å)	I/Imax	h k l
21.44	4.145	92	1 0 1
34.75	2.581	43	2 0 0
35.67	2.517	100	1 1 2
41.20	2.191	34	2 1 1
49.97	1.825	23	2 2 0
56.25	1.635	15	2 1 3
62.89	1.478	44	3 1 2
64.66	1.441	15	2 0 4